1.
This entry pairs a crystal structure of CaBeAl2Cd with its computed powder X-ray diffraction pattern. Radiation: a wavelength of 1.5418 Å. Structure: a cell relaxed with PBE.
Peak positions follow from Bragg's law for the DFT cell and can differ from measured ones.

Structure:
a = 5.6932 Å, b = 5.6932 Å, c = 5.1589 Å
α = 90.00°, β = 90.00°, γ = 90.00°
Element x y z (fractional)
Ca 0.0000 0.0000 0.0000
Be 0.0000 0.0000 0.5000
Al 0.0000 0.5000 0.0000
Al 0.5000 0.0000 0.0000
Cd 0.5000 0.5000 0.5000

Top 6 peaks for 15 to 90 degrees two-theta, by angle:
Position (°2θ), intensity
22.08, 29.8
23.27, 100.0
28.12, 48.5
31.43, 48.5
39.47, 49.2
47.57, 28.9



2.
This entry pairs a crystal structure of Na4Ca4Be4AlSi7O24F4 with its computed powder X-ray diffraction pattern. Radiation: a wavelength of 1.5418 Å. Structure: a cell relaxed with PBE.
Peak positions follow from Bragg's law for the DFT cell and can differ from measured ones.

Structure:
a = 9.0358 Å, b = 9.0358 Å, c = 9.0358 Å
α = 107.93°, β = 107.93°, γ = 112.60°
Element x y z (fractional)
Na 0.0115 0.1654 0.6751
Na 0.4903 0.3364 0.3249
Na 0.6636 0.9885 0.1540
Na 0.8346 0.5097 0.8460
Ca 0.0123 0.8477 0.3479
Ca 0.1523 0.5002 0.1646
Ca 0.3356 0.9877 0.8354
Ca 0.4998 0.6644 0.6521
Be 0.1352 0.2770 0.3546
Be 0.2194 0.8648 0.1418
Be 0.7230 0.0777 0.8582
Be 0.9223 0.7806 0.6454
Al 0.5000 0.5000 0.0000
Si 0.0000 0.0000 0.0000
Si 0.0049 0.5049 0.5000
Si 0.2192 0.5867 0.8584
Si 0.4133 0.2717 0.6325
Si 0.4951 0.9951 0.5000
Si 0.6392 0.7808 0.3675
Si 0.7283 0.3608 0.1416
O 0.0278 0.4462 0.6594
O 0.0367 0.8807 0.0971
O 0.0525 0.7164 0.5826
O 0.0604 0.9633 0.8440
O 0.1193 0.2163 0.1560
O 0.1338 0.4699 0.4174
O 0.1551 0.6655 0.9982
O 0.2630 0.1085 0.6401
O 0.2724 0.4506 0.9187
O 0.2836 0.8662 0.3361
O 0.3345 0.3327 0.4896
O 0.3771 0.7370 0.8455
O 0.4685 0.6229 0.3599
O 0.5301 0.9475 0.6639
O 0.5319 0.3537 0.0813
O 0.5494 0.4681 0.8218
O 0.5538 0.2133 0.5816
O 0.6317 0.9722 0.4184
O 0.6463 0.7276 0.1782
O 0.6673 0.1569 0.0018
O 0.7837 0.9396 0.9029
O 0.7867 0.3683 0.3406
O 0.8431 0.8449 0.5104
O 0.8915 0.5315 0.1545
F 0.3752 0.0203 0.1363
F 0.7611 0.6248 0.6450
F 0.8839 0.2389 0.8637
F 0.9797 0.1161 0.3550

Top 6 peaks for 15 to 90 degrees two-theta, by angle:
Position (°2θ), intensity
24.41, 30.1
29.71, 37.4
32.05, 100.0
37.84, 26.6
45.12, 24.1
53.09, 30.3



3.
This entry pairs a crystal structure of Ca2BeAlIr2 with its computed powder X-ray diffraction pattern. Radiation: a wavelength of 1.5418 Å. Structure: a cell relaxed with PBE.
Peak positions follow from Bragg's law for the DFT cell and can differ from measured ones.

Structure:
a = 8.0434 Å, b = 8.0434 Å, c = 8.0434 Å
α = 138.29°, β = 60.85°, γ = 137.79°
Element x y z (fractional)
Ca 0.1716 0.2422 0.4138
Ca 0.3284 0.7422 0.0706
Ca 0.6716 0.2578 0.9294
Ca 0.8284 0.7578 0.5862
Be 0.2500 0.7500 0.5000
Be 0.7500 0.2500 0.5000
Al 0.2500 0.2500 0.0000
Al 0.7500 0.7500 0.0000
Ir 0.0946 0.7268 0.8214
Ir 0.4054 0.2268 0.6322
Ir 0.5946 0.7732 0.3678
Ir 0.9054 0.2732 0.1786

Top 6 peaks for 15 to 90 degrees two-theta, by angle:
Position (°2θ), intensity
25.36, 100.0
30.87, 37.5
31.23, 33.7
33.95, 72.8
44.49, 34.1
57.79, 25.9



4.
This entry pairs a crystal structure of Ca2BeAlPt6 with its computed powder X-ray diffraction pattern. Radiation: a wavelength of 1.5418 Å. Structure: a cell relaxed with PBE.
Peak positions follow from Bragg's law for the DFT cell and can differ from measured ones.

Structure:
a = 7.3511 Å, b = 7.3511 Å, c = 7.3511 Å
α = 45.64°, β = 45.64°, γ = 45.64°
Element x y z (fractional)
Ca 0.2109 0.2109 0.2109
Ca 0.7891 0.7891 0.7891
Be 0.0000 0.0000 0.0000
Al 0.5000 0.5000 0.5000
Pt 0.2416 0.2416 0.7211
Pt 0.2416 0.7211 0.2416
Pt 0.2789 0.7584 0.7584
Pt 0.7211 0.2416 0.2416
Pt 0.7584 0.2789 0.7584
Pt 0.7584 0.7584 0.2789

Top 6 peaks for 15 to 90 degrees two-theta, by angle:
Position (°2θ), intensity
20.11, 36.9
27.13, 50.8
37.55, 100.0
40.88, 79.1
52.45, 22.6
65.48, 23.8



5.
This entry pairs a crystal structure of Be2AlCd with its computed powder X-ray diffraction pattern. Radiation: a wavelength of 1.5418 Å. Structure: a cell relaxed with PBE.
Peak positions follow from Bragg's law for the DFT cell and can differ from measured ones.

Structure:
a = 2.6810 Å, b = 3.9341 Å, c = 11.2331 Å
α = 90.00°, β = 90.00°, γ = 90.00°
Element x y z (fractional)
Be 0.0000 0.0000 0.0000
Be 0.0000 0.5000 0.3360
Be 0.5000 0.0000 0.8360
Be 0.5000 0.5000 0.5000
Al 0.0000 0.0000 0.4795
Al 0.5000 0.5000 0.9795
Cd 0.0000 0.5000 0.7127
Cd 0.5000 0.0000 0.2127

Top 6 peaks for 15 to 90 degrees two-theta, by angle:
Position (°2θ), intensity
15.78, 69.6
23.97, 100.0
31.87, 38.2
33.03, 58.0
34.39, 42.9
43.93, 70.1



6.
This entry pairs a crystal structure of CeBeAl3 with its computed powder X-ray diffraction pattern. Radiation: a wavelength of 1.5418 Å. Structure: a cell relaxed with PBE.
Peak positions follow from Bragg's law for the DFT cell and can differ from measured ones.

Structure:
a = 4.1386 Å, b = 4.1386 Å, c = 10.5967 Å
α = 90.00°, β = 90.00°, γ = 90.00°
Element x y z (fractional)
Ce 0.0000 0.0000 0.0000
Ce 0.5000 0.5000 0.5000
Be 0.0000 0.0000 0.3821
Be 0.5000 0.5000 0.8821
Al 0.0000 0.0000 0.6018
Al 0.0000 0.5000 0.2608
Al 0.0000 0.5000 0.7608
Al 0.5000 0.0000 0.2608
Al 0.5000 0.0000 0.7608
Al 0.5000 0.5000 0.1018

Top 6 peaks for 15 to 90 degrees two-theta, by angle:
Position (°2θ), intensity
16.73, 31.7
23.07, 89.2
33.35, 65.4
35.03, 100.0
43.75, 33.0
56.10, 29.3



7.
This entry pairs a crystal structure of CeDyBeAl with its computed powder X-ray diffraction pattern. Radiation: a wavelength of 1.5418 Å. Structure: a cell relaxed with PBE.
Peak positions follow from Bragg's law for the DFT cell and can differ from measured ones.

Structure:
a = 7.0681 Å, b = 7.0681 Å, c = 7.0681 Å
α = 90.00°, β = 90.00°, γ = 90.00°
Element x y z (fractional)
Ce 0.0000 0.0000 0.0000
Ce 0.0000 0.5000 0.5000
Ce 0.5000 0.0000 0.5000
Ce 0.5000 0.5000 0.0000
Dy 0.0000 0.0000 0.5000
Dy 0.0000 0.5000 0.0000
Dy 0.5000 0.0000 0.0000
Dy 0.5000 0.5000 0.5000
Be 0.2500 0.2500 0.7500
Be 0.2500 0.7500 0.2500
Be 0.7500 0.2500 0.2500
Be 0.7500 0.7500 0.7500
Al 0.2500 0.2500 0.2500
Al 0.2500 0.7500 0.7500
Al 0.7500 0.2500 0.7500
Al 0.7500 0.7500 0.2500

Top 6 peaks for 15 to 90 degrees two-theta, by angle:
Position (°2θ), intensity
25.20, 79.6
35.94, 100.0
44.40, 23.8
51.73, 17.6
58.39, 31.8
64.60, 36.0



8.
This entry pairs a crystal structure of Na8BeAl4Si7Cl2O24 with its computed powder X-ray diffraction pattern. Radiation: a wavelength of 1.5418 Å. Structure: a cell relaxed with PBE.
Peak positions follow from Bragg's law for the DFT cell and can differ from measured ones.

Structure:
a = 8.9567 Å, b = 8.9567 Å, c = 9.0117 Å
α = 90.00°, β = 90.00°, γ = 90.00°
Element x y z (fractional)
Na 0.1736 0.6826 0.4308
Na 0.2046 0.3196 0.0611
Na 0.3174 0.1736 0.5692
Na 0.3196 0.7954 0.9389
Na 0.6804 0.2046 0.9389
Na 0.6826 0.8264 0.5692
Na 0.7954 0.6804 0.0611
Na 0.8264 0.3174 0.4308
Be 0.5000 0.5000 0.0000
Al 0.0009 0.2518 0.7489
Al 0.2518 0.9991 0.2511
Al 0.7482 0.0009 0.2511
Al 0.9991 0.7482 0.7489
Si 0.0000 0.0000 0.0000
Si 0.0000 0.0000 0.5000
Si 0.2589 0.4949 0.7538
Si 0.4949 0.7411 0.2462
Si 0.5000 0.5000 0.5000
Si 0.5051 0.2589 0.2462
Si 0.7411 0.5051 0.7538
Cl 0.0000 0.5000 0.2488
Cl 0.5000 0.0000 0.7512
O 0.0517 0.1456 0.9032
O 0.0543 0.8562 0.5970
O 0.1438 0.0543 0.4030
O 0.1456 0.9483 0.0968
O 0.1558 0.6399 0.7920
O 0.1604 0.3528 0.6949
O 0.3528 0.8396 0.3051
O 0.3568 0.5475 0.6019
O 0.3584 0.4508 0.8948
O 0.3601 0.1558 0.2080
O 0.4508 0.6416 0.1052
O 0.4525 0.3568 0.3981
O 0.5475 0.6432 0.3981
O 0.5492 0.3584 0.1052
O 0.6399 0.8442 0.2080
O 0.6416 0.5492 0.8948
O 0.6432 0.4525 0.6019
O 0.6472 0.1604 0.3051
O 0.8396 0.6472 0.6949
O 0.8442 0.3601 0.7920
O 0.8544 0.0517 0.0968
O 0.8562 0.9457 0.4030
O 0.9457 0.1438 0.5970
O 0.9483 0.8544 0.9032

Top 6 peaks for 15 to 90 degrees two-theta, by angle:
Position (°2θ), intensity
24.29, 100.0
34.62, 28.5
37.46, 20.4
42.70, 13.1
42.83, 9.7
64.02, 11.3



What is the formula in the third record? Ca2BeAlIr2



Copy entry 6 word for word.
This entry pairs a crystal structure of CeBeAl3 with its computed powder X-ray diffraction pattern. Radiation: a wavelength of 1.5418 Å. Structure: a cell relaxed with PBE.
Peak positions follow from Bragg's law for the DFT cell and can differ from measured ones.

Structure:
a = 4.1386 Å, b = 4.1386 Å, c = 10.5967 Å
α = 90.00°, β = 90.00°, γ = 90.00°
Element x y z (fractional)
Ce 0.0000 0.0000 0.0000
Ce 0.5000 0.5000 0.5000
Be 0.0000 0.0000 0.3821
Be 0.5000 0.5000 0.8821
Al 0.0000 0.0000 0.6018
Al 0.0000 0.5000 0.2608
Al 0.0000 0.5000 0.7608
Al 0.5000 0.0000 0.2608
Al 0.5000 0.0000 0.7608
Al 0.5000 0.5000 0.1018

Top 6 peaks for 15 to 90 degrees two-theta, by angle:
Position (°2θ), intensity
16.73, 31.7
23.07, 89.2
33.35, 65.4
35.03, 100.0
43.75, 33.0
56.10, 29.3